KV3Cl12: computed powder XRD pattern (Cu Ka), based on DFT lattice parameters and positions (PBE).
Neutral-atom scattering factors, no anomalous dispersion.

Structural model:
a b c (Å): 12.6015 12.6015 8.4996
angles (deg): 90.00 90.00 120.00
Atoms (fractional coordinates):
K 0.3333 0.6667 0.2500
K 0.6667 0.3333 0.7500
V 0.0976 0.7128 0.7500
V 0.2872 0.3848 0.7500
V 0.3848 0.0976 0.2500
V 0.6152 0.9024 0.7500
V 0.7128 0.6152 0.2500
V 0.9024 0.2872 0.2500
Cl 0.0069 0.1947 0.2500
Cl 0.0225 0.4857 0.2500
Cl 0.1878 0.9931 0.2500
Cl 0.1947 0.1878 0.7500
Cl 0.2135 0.7659 0.5413
Cl 0.2135 0.7659 0.9587
Cl 0.2341 0.4476 0.5413
Cl 0.2341 0.4476 0.9587
Cl 0.4476 0.2135 0.0413
Cl 0.4476 0.2135 0.4587
Cl 0.4632 0.9775 0.2500
Cl 0.4857 0.4632 0.7500
Cl 0.5143 0.5368 0.2500
Cl 0.5368 0.0225 0.7500
Cl 0.5524 0.7865 0.5413
Cl 0.5524 0.7865 0.9587
Cl 0.7659 0.5524 0.0413
Cl 0.7659 0.5524 0.4587
Cl 0.7865 0.2341 0.0413
Cl 0.7865 0.2341 0.4587
Cl 0.8053 0.8122 0.2500
Cl 0.8122 0.0069 0.7500
Cl 0.9775 0.5143 0.7500
Cl 0.9931 0.8053 0.7500

Largest 10 diffraction maxima, in order of rising 2θ, 10° ≤ 2θ ≤ 90°:
- 17.5 deg, I 100, (1 1 1)
- 19.3 deg, I 46, (2 0 1)
- 20.9 deg, I 19, (0 0 2)
- 21.5 deg, I 30, (2 1 0)
- 26.6 deg, I 33, (3 0 1)
- 29.5 deg, I 25, (1 3 0)
- 30.2 deg, I 59, (1 2 2)
- 37.4 deg, I 14, (3 2 1)
- 42.5 deg, I 14, (0 0 4)
- 48.5 deg, I 17, (3 2 3)

***

K3W2Cl9: computed powder XRD pattern (Cu Ka), based on DFT lattice parameters and positions (PBE).
Neutral-atom scattering factors, no anomalous dispersion.

Structural model:
a b c (Å): 7.4505 7.4505 16.2663
angles (deg): 90.00 90.00 120.00
Atoms (fractional coordinates):
K 0.0000 0.0000 0.2500
K 0.0000 0.0000 0.7500
K 0.3333 0.6667 0.0713
K 0.3333 0.6667 0.4287
K 0.6667 0.3333 0.5713
K 0.6667 0.3333 0.9287
W 0.3333 0.6667 0.6770
W 0.3333 0.6667 0.8230
W 0.6667 0.3333 0.1770
W 0.6667 0.3333 0.3230
Cl 0.0053 0.4333 0.2500
Cl 0.1175 0.3610 0.5962
Cl 0.1175 0.3610 0.9038
Cl 0.2435 0.8825 0.5962
Cl 0.2435 0.8825 0.9038
Cl 0.3610 0.2435 0.0962
Cl 0.3610 0.2435 0.4038
Cl 0.4279 0.9947 0.2500
Cl 0.4333 0.4279 0.7500
Cl 0.5667 0.5721 0.2500
Cl 0.5721 0.0053 0.7500
Cl 0.6390 0.7565 0.5962
Cl 0.6390 0.7565 0.9038
Cl 0.7565 0.1175 0.0962
Cl 0.7565 0.1175 0.4038
Cl 0.8825 0.6390 0.0962
Cl 0.8825 0.6390 0.4038
Cl 0.9947 0.5667 0.7500

Largest 10 diffraction maxima, in order of rising 2θ, 10° ≤ 2θ ≤ 90°:
- 10.9 deg, I 23, (0 0 2)
- 13.7 deg, I 29, (1 0 0)
- 14.8 deg, I 100, (1 0 1)
- 23.9 deg, I 26, (1 1 0)
- 26.3 deg, I 12, (1 1 2)
- 30.8 deg, I 14, (1 0 5)
- 32.3 deg, I 14, (2 0 3)
- 37.3 deg, I 18, (2 1 1)
- 42.0 deg, I 12, (3 0 0)
- 48.3 deg, I 12, (2 0 7)